1.
This entry pairs a crystal structure of YRe4Se with its simulated powder diffraction line list. Radiation: copper Kα. Structure: a GGA-PBE-relaxed structure.
Intensities are scaled so that the largest is 100.

Crystal structure
Cell: 7.555 7.555 7.555 Å, 90.00 90.00 90.00°
Space group F-43m (No. 216)
Inequivalent atoms, fractional coordinates:
Y1 0.000 0.000 0.000
Re1 0.124 0.124 0.624
Se1 0.250 0.250 0.250

Main lines, low angle first (5° ≤ 2θ ≤ 70°):
- 20.4°, I 45.0, hkl 1 1 1
- 39.6°, I 100.0, hkl 3 1 1
- 41.4°, I 66.9, hkl 2 2 2
- 48.2°, I 19.4, hkl 4 0 0
- 52.8°, I 11.6, hkl 3 3 1
- 64.0°, I 32.5, hkl 5 1 1

2.
This entry pairs a crystal structure of BaTmVN3 with its simulated powder diffraction line list. Radiation: copper Kα. Structure: a GGA-PBE-relaxed structure.
Intensities are scaled so that the largest is 100.

Crystal structure
Cell: 13.157 3.828 7.654 Å, 90.00 105.32 90.00°
Space group C2/m (No. 12)
Inequivalent atoms, fractional coordinates:
Ba1 0.143 0.000 0.077
Tm1 0.156 0.000 0.571
V1 0.001 0.500 0.317
N1 0.005 0.000 0.327
N2 0.145 0.500 0.786
N3 0.159 0.500 0.359

Main lines, low angle first (5° ≤ 2θ ≤ 70°):
- 24.3°, I 26.3, hkl 1 1 0
- 31.1°, I 44.1, hkl 2 0 2
- 31.5°, I 80.2, hkl 3 1 0
- 32.0°, I 40.2, hkl 4 0 -2
- 33.1°, I 100.0, hkl 1 1 -2
- 47.5°, I 35.5, hkl 0 2 0

3.
This entry pairs a crystal structure of RbY3Be with its simulated powder diffraction line list. Radiation: copper Kα. Structure: a GGA-PBE-relaxed structure.
Intensities are scaled so that the largest is 100.

Crystal structure
Cell: 5.528 5.528 5.528 Å, 90.00 90.00 90.00°
Space group Pm-3m (No. 221)
Inequivalent atoms, fractional coordinates:
Rb1 0.000 0.000 0.000
Y1 0.000 0.500 0.500
Be1 0.500 0.500 0.500

Main lines, low angle first (5° ≤ 2θ ≤ 70°):
- 28.0°, I 100.0, hkl 1 1 1
- 32.4°, I 54.3, hkl 2 0 0
- 46.5°, I 38.5, hkl 2 2 0
- 55.1°, I 43.0, hkl 3 1 1
- 57.8°, I 13.2, hkl 2 2 2
- 67.8°, I 6.0, hkl 4 0 0

4.
This entry pairs a crystal structure of SrAc2Zn2 with its simulated powder diffraction line list. Radiation: copper Kα. Structure: a GGA-PBE-relaxed structure.
Intensities are scaled so that the largest is 100.

Crystal structure
Cell: 5.180 4.944 13.724 Å, 90.00 98.95 90.00°
Space group P2_1/m (No. 11)
Inequivalent atoms, fractional coordinates:
Sr1 0.156 0.250 0.268
Ac1 0.248 0.750 0.496
Ac2 0.407 0.250 0.888
Zn1 0.031 0.750 0.966
Zn2 0.314 0.250 0.652

Main lines, low angle first (5° ≤ 2θ ≤ 70°):
- 13.1°, I 51.2, hkl 0 0 2
- 26.6°, I 95.2, hkl 1 1 1
- 27.0°, I 100.0, hkl 1 1 -2
- 34.5°, I 53.9, hkl 1 1 -4
- 34.7°, I 46.1, hkl 2 0 -1
- 36.3°, I 45.9, hkl 0 2 0

5.
This entry pairs a crystal structure of Tb2PaH with its simulated powder diffraction line list. Radiation: copper Kα. Structure: a GGA-PBE-relaxed structure.
Intensities are scaled so that the largest is 100.

Crystal structure
Cell: 3.3026 3.3026 27.8968 Å, 90.00 90.00 120.00°
Space group R-3m (No. 166, hexagonal axes)
Inequivalent atoms, fractional coordinates:
Tb1 0.0000 0.0000 0.1154
Pa1 0.0000 0.0000 0.0000
H1 0.0000 0.0000 0.5000

Main lines, low angle first (5° ≤ 2θ ≤ 70°):
- 28.8°, I 55.4, hkl 0 0 9
- 31.4°, I 100.0, hkl 1 0 1
- 31.9°, I 31.8, hkl 0 1 2
- 38.8°, I 30.8, hkl 1 0 7
- 40.8°, I 60.2, hkl 0 1 8
- 63.9°, I 35.8, hkl 1 1 9

6.
This entry pairs a crystal structure of NpTl3Co2S6 with its simulated powder diffraction line list. Radiation: copper Kα. Structure: a GGA-PBE-relaxed structure.
Intensities are scaled so that the largest is 100.

Crystal structure
Cell: 5.960 10.332 8.522 Å, 90.00 105.46 90.00°
Space group C2/m (No. 12)
Inequivalent atoms, fractional coordinates:
Np1 0.000 0.000 0.000
Tl1 0.000 0.167 0.500
Tl2 0.000 0.500 0.500
Co1 0.000 0.333 0.000
S1 0.185 0.500 0.163
S2 0.249 0.311 0.837

Main lines, low angle first (5° ≤ 2θ ≤ 70°):
- 21.6°, I 91.2, hkl 0 0 2
- 30.7°, I 64.1, hkl 1 3 -1
- 31.1°, I 33.9, hkl 2 0 0
- 32.9°, I 51.0, hkl 2 0 -2
- 33.6°, I 100.0, hkl 1 3 1
- 41.8°, I 43.0, hkl 1 3 -3

7.
This entry pairs a crystal structure of CaCd6Au6 with its simulated powder diffraction line list. Radiation: copper Kα. Structure: a GGA-PBE-relaxed structure.
Intensities are scaled so that the largest is 100.

Crystal structure
Cell: 5.653 9.770 9.911 Å, 90.00 90.00 90.00°
Space group Immm (No. 71)
Inequivalent atoms, fractional coordinates:
Ca1 0.000 0.000 0.000
Cd1 0.000 0.000 0.349
Cd2 0.000 0.346 0.000
Cd3 0.000 0.500 0.300
Au1 0.000 0.285 0.500
Au2 0.250 0.250 0.250

Main lines, low angle first (5° ≤ 2θ ≤ 70°):
- 18.1°, I 59.4, hkl 0 2 0
- 36.5°, I 28.8, hkl 1 2 3
- 36.6°, I 60.6, hkl 2 0 2
- 36.8°, I 45.0, hkl 0 4 0
- 40.8°, I 41.8, hkl 0 2 4
- 41.2°, I 100.0, hkl 2 2 2

What did the seventh record say?
This entry pairs a crystal structure of CaCd6Au6 with its simulated powder diffraction line list. Radiation: copper Kα. Structure: a GGA-PBE-relaxed structure.
Intensities are scaled so that the largest is 100.

Crystal structure
Cell: 5.653 9.770 9.911 Å, 90.00 90.00 90.00°
Space group Immm (No. 71)
Inequivalent atoms, fractional coordinates:
Ca1 0.000 0.000 0.000
Cd1 0.000 0.000 0.349
Cd2 0.000 0.346 0.000
Cd3 0.000 0.500 0.300
Au1 0.000 0.285 0.500
Au2 0.250 0.250 0.250

Main lines, low angle first (5° ≤ 2θ ≤ 70°):
- 18.1°, I 59.4, hkl 0 2 0
- 36.5°, I 28.8, hkl 1 2 3
- 36.6°, I 60.6, hkl 2 0 2
- 36.8°, I 45.0, hkl 0 4 0
- 40.8°, I 41.8, hkl 0 2 4
- 41.2°, I 100.0, hkl 2 2 2